Record 1
Calculated powder diffraction line list of YCuW2O8 for Cu Kα, from a cell relaxed with PBE+U.
Lines closer than 0.1° are merged.

Cell and atoms:
a = 5.150 Å, b = 6.060 Å, c = 6.184 Å
α = 108.65°, β = 91.85°, γ = 113.86°
Space group P-1 (No. 2)
Inequivalent atoms, fractional coordinates:
Y  0.000  0.000  0.000 [1 per cell]
Cu  0.500  0.000  0.500 [1 per cell]
W  0.249  0.487  0.664 [2 per cell]
O  0.022  0.256  0.786 [2 per cell]
O  0.027  0.692  0.669 [2 per cell]
O  0.463  0.297  0.526 [2 per cell]
O  0.484  0.262  0.081 [2 per cell]

Most intense lines, 2θ = 10–90°, in order of rising 2θ:
2θ/deg	I/Imax	index
15.4	49	0 0 1
17.2	62	0 1 0
18.4	43	0 1 -1
26.5	100	-1 1 1
26.9	97	1 0 1
29.5	42	0 1 -2
30.0	72	1 1 -1
30.8	70	1 -2 1
34.8	35	0 2 0
34.9	49	2 -1 0

---

Record 2
Calculated powder diffraction line list of YCuW2O8 for Cu Kα, from a cell relaxed with PBE+U.
Lines closer than 0.1° are merged.

Cell and atoms:
a = 5.143 Å, b = 6.080 Å, c = 6.118 Å
α = 108.91°, β = 91.75°, γ = 113.74°
Space group P1 (No. 1)
Inequivalent atoms, fractional coordinates:
Y  0.000  0.000  0.000 [1 per cell]
Cu  0.486  0.993  0.492 [1 per cell]
W  0.248  0.488  0.667 [1 per cell]
W  0.747  0.511  0.332 [1 per cell]
O  0.020  0.252  0.783 [1 per cell]
O  0.024  0.690  0.671 [1 per cell]
O  0.462  0.297  0.522 [1 per cell]
O  0.488  0.261  0.070 [1 per cell]
O  0.512  0.737  0.926 [1 per cell]
O  0.531  0.700  0.473 [1 per cell]
O  0.973  0.310  0.327 [1 per cell]
O  0.978  0.749  0.218 [1 per cell]

Most intense lines, 2θ = 10–90°, in order of rising 2θ:
2θ/deg	I/Imax	index
15.6	44	0 0 1
17.1	63	0 1 0
18.5	42	0 1 -1
26.7	100	-1 1 1
27.0	97	1 0 1
29.8	43	0 1 -2
29.9	73	1 1 -1
30.7	70	1 -2 1
34.7	52	0 2 0
34.9	50	2 -1 0